# 1
The following is a theoretical X-ray powder pattern of Li7Mn2Co3O12. It was derived from the GGA+U geometry in the Materials Project, using copper Kα.
Lines closer than 0.1° are merged.

Crystal structure
```
data_Li7Mn2Co3O12
_cell_length_a 9.840
_cell_length_b 2.899
_cell_length_c 15.474
_cell_angle_alpha 90.00
_cell_angle_beta 99.67
_cell_angle_gamma 90.00
_symmetry_space_group_name_H-M 'C 1 2/m 1'
_symmetry_Int_Tables_number 12
_symmetry_space_group_name_Hall '-C 2y'
loop_
_atom_site_label
_atom_site_fract_x
_atom_site_fract_y
_atom_site_fract_z
Li1 0.000 0.000 0.000
Li2 0.240 0.500 0.075
Li3 0.248 0.000 0.243
Li4 0.249 0.500 0.416
Mn1 0.000 0.000 0.331
Co1 0.000 0.500 0.500
Co2 0.010 0.500 0.849
O1 0.106 0.000 0.784
O2 0.111 0.500 0.298
O3 0.112 0.000 0.451
O4 0.113 0.000 0.131
O5 0.114 0.500 0.633
O6 0.124 0.500 0.951
```

Main lines, in order of falling intensity (2θ from 15° to 90°):
d [Å]  I/Imax
4.851  100.0
2.072  55.2
1.479  26.4
2.111  25.7
2.488  23.9
2.542  12.3
1.603  9.3
1.911  7.6
1.449  7.4
1.482  7.2


# 2
The following is a theoretical X-ray powder pattern of Li7Mn2Co3O12. It was derived from the GGA+U geometry in the Materials Project, using copper Kα.
Lines closer than 0.1° are merged.

Crystal structure
```
data_Li7Mn2Co3O12
_cell_length_a 5.060
_cell_length_b 5.878
_cell_length_c 7.812
_cell_angle_alpha 78.53
_cell_angle_beta 78.10
_cell_angle_gamma 73.17
_symmetry_space_group_name_H-M 'P 1'
_symmetry_Int_Tables_number 1
_symmetry_space_group_name_Hall 'P 1'
loop_
_atom_site_label
_atom_site_fract_x
_atom_site_fract_y
_atom_site_fract_z
Li1 0.000 0.000 0.000
Li2 0.002 0.172 0.325
Li3 0.005 0.670 0.325
Li4 0.009 0.334 0.647
Li5 0.493 0.839 0.164
Li6 0.507 0.170 0.824
Li7 0.510 0.500 0.485
Mn1 0.006 0.834 0.656
Mn2 0.502 0.337 0.163
Co1 0.006 0.491 0.001
Co2 0.504 0.670 0.824
Co3 0.506 0.009 0.482
O1 0.244 0.524 0.743
O2 0.248 0.981 0.739
O3 0.253 0.844 0.433
O4 0.256 0.196 0.072
O5 0.265 0.653 0.073
O6 0.279 0.333 0.392
O7 0.726 0.024 0.238
O8 0.730 0.351 0.922
O9 0.739 0.497 0.228
O10 0.754 0.135 0.580
O11 0.769 0.677 0.582
O12 0.776 0.816 0.892
```

Main lines, in order of falling intensity (2θ from 15° to 90°):
d [Å]  I/Imax
4.837  100.0
2.096  29.5
2.072  28.3
2.064  27.8
1.469  15.1
2.514  14.8
2.491  13.7
2.484  12.6
2.392  10.2
1.911  8.5